Structure and computed powder XRD pattern of KMoO3F (a DFT-relaxed cell (GGA+U, Alexandria); Cu Kα, 1.54184 Å).
Neutral-atom scattering factors, no anomalous dispersion.

Atomic structure:
```
KMoO3F
1.0
2.587 -9.589 0.000
2.587 9.589 0.000
-0.086 0.000 5.405
K Mo O F
2 2 6 2
Direct
0.243 0.757 0.750
0.757 0.243 0.250
0.468 0.532 0.250
0.532 0.468 0.750
0.260 0.260 0.496
0.260 0.260 0.996
0.379 0.621 0.250
0.621 0.379 0.750
0.740 0.740 0.004
0.740 0.740 0.504
0.222 0.778 0.250
0.778 0.222 0.750
```

Largest 8 diffraction maxima, in order of rising 2θ, 10° ≤ 2θ ≤ 90°:
two_theta  I/Imax
17.8  100.0
18.5  83.6
18.8  22.1
22.1  40.0
24.8  24.3
27.5  26.2
27.8  25.6
33.1  18.7